Structure and theoretical powder X-ray diffraction pattern of LiMn2P3O12 (a DFT-relaxed cell (PBE+U, the Materials Project); λ = 1.5418 Å (Cu Kα)).

Structure:
Unit cell a=4.729 b=4.729 c=19.302 alpha=91.69 beta=91.69 gamma=66.83
Element x y z (fractional)
Li1 0.001 0.001 0.338
Li2 0.999 0.999 0.662
Mn1 0.000 0.000 0.000
Mn2 0.000 0.000 0.500
Mn3 0.001 0.001 0.169
Mn4 0.999 0.999 0.831
P1 0.344 0.344 0.087
P2 0.347 0.347 0.755
P3 0.350 0.350 0.423
P4 0.650 0.650 0.577
P5 0.653 0.653 0.245
P6 0.656 0.656 0.913
O1 0.217 0.706 0.088
O2 0.224 0.707 0.761
O3 0.225 0.710 0.428
O4 0.232 0.232 0.818
O5 0.235 0.235 0.485
O6 0.237 0.237 0.151
O7 0.240 0.240 0.019
O8 0.258 0.258 0.684
O9 0.260 0.260 0.352
O10 0.290 0.775 0.572
O11 0.293 0.776 0.239
O12 0.294 0.783 0.912
O13 0.706 0.217 0.088
O14 0.707 0.224 0.761
O15 0.710 0.225 0.428
O16 0.740 0.740 0.648
O17 0.742 0.742 0.316
O18 0.760 0.760 0.981
O19 0.763 0.763 0.849
O20 0.765 0.765 0.515
O21 0.768 0.768 0.182
O22 0.775 0.290 0.572
O23 0.776 0.293 0.239
O24 0.783 0.294 0.912

Principal peaks in the range 10° ≤ 2θ ≤ 80°, most intense first:
2θ/deg	I/Imax
24.95	1000
34.40	803
26.08	641
35.04	526
13.77	500
38.34	432
44.79	269
20.43	241
66.98	201
57.31	181